Starting from a cell relaxed with PBE, the powder diffraction line list of Tl3CuBr6 was calculated for Cu Kα.
Intensities are scaled so that the largest is 100.

Crystal structure
```
Tl3CuBr6
1.0
7.255 0.000 0.000
0.000 7.942 0.000
-7.027 0.000 11.107
Tl Cu Br
6 2 12
direct
0.000 0.000 0.000
0.000 0.500 0.500
0.284 0.087 0.753
0.284 0.413 0.253
0.716 0.587 0.747
0.716 0.913 0.247
0.500 0.000 0.500
0.500 0.500 0.000
0.190 0.503 0.754
0.190 0.997 0.254
0.254 0.668 0.032
0.254 0.832 0.532
0.343 0.207 0.031
0.343 0.293 0.531
0.657 0.707 0.469
0.657 0.793 0.969
0.746 0.168 0.468
0.746 0.332 0.968
0.810 0.003 0.746
0.810 0.497 0.246
```

Top 6 peaks for 2θ from 10° to 80°, by angle:
- d = 3.885 Å, intensity 77.3
- d = 3.826 Å, intensity 67.5
- d = 3.627 Å, intensity 40.3
- d = 3.179 Å, intensity 48.5
- d = 2.777 Å, intensity 100.0
- d = 2.678 Å, intensity 86.3

Starting from a cell relaxed with PBE, the powder diffraction line list of LaPm5Ho2 was calculated for Cu Kα.
Intensities are scaled so that the largest is 100.

Crystal structure
```
LaPm5Ho2
1.0
7.269 0.000 0.000
0.000 14.543 0.000
0.000 0.000 5.121
La Pm Ho
2 10 4
direct
0.000 0.000 0.000
0.500 0.500 0.000
0.000 0.500 0.000
0.002 0.251 0.000
0.248 0.626 0.500
0.252 0.126 0.500
0.498 0.751 0.000
0.500 0.000 0.000
0.502 0.249 0.000
0.748 0.874 0.500
0.752 0.374 0.500
0.998 0.749 0.000
0.249 0.874 0.500
0.251 0.374 0.500
0.749 0.626 0.500
0.751 0.126 0.500
```

Top 6 peaks for 2θ from 10° to 80°, by angle:
- d = 2.964 Å, intensity 100.0
- d = 2.570 Å, intensity 33.9
- d = 2.560 Å, intensity 16.8
- d = 1.814 Å, intensity 24.1
- d = 1.549 Å, intensity 28.8
- d = 1.545 Å, intensity 14.3

Starting from a cell relaxed with PBE, the powder diffraction line list of Tb3ReN4 was calculated for Cu Kα.
Intensities are scaled so that the largest is 100.

Crystal structure
```
Tb3ReN4
1.0
7.689 0.000 0.000
0.000 6.656 0.000
0.000 0.000 4.989
Tb Re N
6 2 8
direct
0.000 0.145 0.000
0.250 0.329 0.500
0.250 0.671 0.000
0.500 0.855 0.500
0.750 0.329 0.500
0.750 0.671 0.000
0.000 0.820 0.490
0.500 0.180 0.990
0.000 0.116 0.498
0.000 0.818 0.065
0.234 0.687 0.496
0.266 0.313 0.996
0.500 0.182 0.565
0.500 0.884 0.998
0.734 0.313 0.996
0.766 0.687 0.496
```

Top 6 peaks for 2θ from 10° to 80°, by angle:
- d = 3.329 Å, intensity 37.9
- d = 2.769 Å, intensity 100.0
- d = 2.495 Å, intensity 23.1
- d = 1.922 Å, intensity 30.4
- d = 1.579 Å, intensity 19.0
- d = 1.522 Å, intensity 27.9

Starting from a cell relaxed with PBE, the powder diffraction line list of Cu3SbAu3 was calculated for Cu Kα.
Intensities are scaled so that the largest is 100.

Crystal structure
```
Cu3SbAu3
1.0
6.900 0.000 0.000
0.000 6.900 0.000
0.000 0.000 6.900
Cu Sb Au
6 2 6
direct
0.000 0.250 0.500
0.000 0.750 0.500
0.250 0.500 0.000
0.500 0.000 0.250
0.500 0.000 0.750
0.750 0.500 0.000
0.000 0.000 0.000
0.500 0.500 0.500
0.000 0.500 0.250
0.000 0.500 0.750
0.250 0.000 0.500
0.500 0.250 0.000
0.500 0.750 0.000
0.750 0.000 0.500
```

Top 6 peaks for 2θ from 10° to 80°, by angle:
- d = 3.450 Å, intensity 42.3
- d = 3.086 Å, intensity 54.7
- d = 2.817 Å, intensity 100.0
- d = 1.992 Å, intensity 38.1
- d = 1.844 Å, intensity 57.9
- d = 1.725 Å, intensity 33.1

Starting from a cell relaxed with PBE, the powder diffraction line list of NaSrRuO4 was calculated for Cu Kα.
Intensities are scaled so that the largest is 100.

Crystal structure
```
NaSrRuO4
1.0
-1.958 1.958 6.236
1.958 -1.958 6.236
1.958 1.958 -6.236
Na Sr Ru O
1 1 1 4
direct
0.000 0.000 0.000
0.297 0.297 0.000
0.645 0.645 0.000
0.153 0.653 0.500
0.492 0.492 0.000
0.653 0.153 0.500
0.807 0.807 0.000
```

Top 6 peaks for 2θ from 10° to 80°, by angle:
- d = 6.236 Å, intensity 63.8
- d = 3.736 Å, intensity 38.5
- d = 2.851 Å, intensity 100.0
- d = 2.769 Å, intensity 68.0
- d = 1.958 Å, intensity 39.9
- d = 1.614 Å, intensity 37.7

Starting from a cell relaxed with PBE, the powder diffraction line list of CeHgPbBr6 was calculated for Cu Kα.
Intensities are scaled so that the largest is 100.

Crystal structure
```
CeHgPbBr6
1.0
7.670 0.000 0.000
-3.835 6.643 0.000
0.000 0.000 16.234
Ce Hg Pb Br
2 2 2 12
direct
0.333 0.667 0.250
0.667 0.333 0.750
0.000 0.000 0.000
0.000 0.000 0.500
0.333 0.667 0.750
0.667 0.333 0.250
0.023 0.380 0.149
0.023 0.643 0.351
0.357 0.380 0.351
0.357 0.977 0.149
0.380 0.023 0.649
0.380 0.357 0.851
0.620 0.643 0.149
0.620 0.977 0.351
0.643 0.023 0.851
0.643 0.620 0.649
0.977 0.357 0.649
0.977 0.620 0.851
```

Top 6 peaks for 2θ from 10° to 80°, by angle:
- d = 5.141 Å, intensity 100.0
- d = 3.467 Å, intensity 41.9
- d = 2.787 Å, intensity 87.4
- d = 2.399 Å, intensity 30.4
- d = 2.213 Å, intensity 47.1
- d = 1.795 Å, intensity 30.9

Starting from a cell relaxed with PBE, the powder diffraction line list of BaNa3Pa4O12 was calculated for Cu Kα.
Intensities are scaled so that the largest is 100.

Crystal structure
```
BaNa3Pa4O12
1.0
-4.283 4.283 4.283
4.283 -4.283 4.283
4.283 4.283 -4.283
Ba Na Pa O
1 3 4 12
direct
0.000 0.000 0.000
0.000 0.500 0.500
0.500 0.000 0.500
0.500 0.500 0.000
0.000 0.000 0.500
0.000 0.500 0.000
0.500 0.000 0.000
0.500 0.500 0.500
0.092 0.805 0.287
0.195 0.287 0.482
0.195 0.713 0.908
0.287 0.092 0.805
0.287 0.482 0.195
0.482 0.195 0.287
0.518 0.805 0.713
0.713 0.518 0.805
0.713 0.908 0.195
0.805 0.287 0.092
0.805 0.713 0.518
0.908 0.195 0.713
```

Top 6 peaks for 2θ from 10° to 80°, by angle:
- d = 4.283 Å, intensity 59.6
- d = 3.029 Å, intensity 100.0
- d = 2.142 Å, intensity 26.5
- d = 1.916 Å, intensity 28.8
- d = 1.749 Å, intensity 47.4
- d = 1.355 Å, intensity 19.0

Starting from a cell relaxed with PBE, the powder diffraction line list of BaTaAs2Ru was calculated for Cu Kα.
Intensities are scaled so that the largest is 100.

Crystal structure
```
BaTaAs2Ru
1.0
-2.010 2.010 7.047
2.010 -2.010 7.047
2.010 2.010 -7.047
Ba Ta As Ru
1 1 2 1
direct
0.000 0.000 0.000
0.750 0.250 0.500
0.365 0.365 0.000
0.635 0.635 0.000
0.250 0.750 0.500
```

Top 6 peaks for 2θ from 10° to 80°, by angle:
- d = 7.047 Å, intensity 49.1
- d = 3.054 Å, intensity 69.8
- d = 2.636 Å, intensity 100.0
- d = 2.212 Å, intensity 35.2
- d = 2.010 Å, intensity 46.9
- d = 1.811 Å, intensity 45.9

Starting from a cell relaxed with PBE, the powder diffraction line list of Li2Ti3P9O28 was calculated for Cu Kα.
Intensities are scaled so that the largest is 100.

Crystal structure
```
Li2Ti3P9O28
1.0
7.291 0.000 0.000
-1.089 9.179 0.000
-3.389 -4.071 8.061
Li Ti P O
2 3 9 28
direct
0.085 0.375 0.184
0.915 0.625 0.816
0.263 0.503 0.750
0.500 0.000 0.500
0.737 0.497 0.250
0.000 0.000 0.000
0.150 0.189 0.410
0.194 0.723 0.534
0.297 0.274 0.954
0.361 0.830 0.094
0.639 0.170 0.906
0.703 0.726 0.046
0.806 0.277 0.466
0.850 0.811 0.590
0.057 0.574 0.365
0.061 0.848 0.574
0.100 0.190 0.241
0.106 0.196 0.962
0.227 0.658 0.952
0.239 0.054 0.428
0.243 0.329 0.818
0.259 0.674 0.675
0.276 0.965 0.069
0.280 0.361 0.549
0.375 0.821 0.533
0.409 0.839 0.266
0.419 0.141 0.915
0.439 0.418 0.126
0.561 0.582 0.874
0.581 0.859 0.085
0.591 0.161 0.734
0.625 0.179 0.467
0.720 0.639 0.451
0.724 0.035 0.931
0.741 0.326 0.325
0.757 0.671 0.182
0.761 0.946 0.572
0.773 0.342 0.048
0.894 0.804 0.038
0.900 0.810 0.759
0.939 0.152 0.426
0.943 0.426 0.635
```

Top 6 peaks for 2θ from 10° to 80°, by angle:
- d = 6.673 Å, intensity 48.0
- d = 5.384 Å, intensity 100.0
- d = 4.987 Å, intensity 54.1
- d = 3.877 Å, intensity 72.4
- d = 3.104 Å, intensity 65.2
- d = 3.013 Å, intensity 39.1

Starting from a cell relaxed with PBE, the powder diffraction line list of LiTlRh was calculated for Cu Kα.
Intensities are scaled so that the largest is 100.

Crystal structure
```
LiTlRh
1.0
5.153 0.000 0.000
0.000 5.246 0.000
0.000 0.000 7.967
Li Tl Rh
4 4 4
direct
0.101 0.072 0.257
0.399 0.928 0.757
0.601 0.428 0.743
0.899 0.572 0.243
0.090 0.335 0.898
0.410 0.665 0.398
0.590 0.165 0.102
0.910 0.835 0.602
0.076 0.328 0.552
0.424 0.672 0.052
0.576 0.172 0.448
0.924 0.828 0.948
```

Top 6 peaks for 2θ from 10° to 80°, by angle:
- d = 4.327 Å, intensity 100.0
- d = 3.984 Å, intensity 48.3
- d = 2.361 Å, intensity 75.4
- d = 2.338 Å, intensity 62.7
- d = 2.313 Å, intensity 66.8
- d = 2.153 Å, intensity 36.1

Starting from a cell relaxed with PBE, the powder diffraction line list of GaC2N was calculated for Cu Kα.
Intensities are scaled so that the largest is 100.

Crystal structure
```
GaC2N
1.0
-2.133 2.133 3.754
2.133 -2.133 3.754
2.133 2.133 -3.754
Ga C N
2 4 2
direct
0.000 0.000 0.000
0.750 0.250 0.500
0.202 0.625 0.077
0.375 0.452 0.577
0.548 0.125 0.923
0.875 0.798 0.423
0.250 0.750 0.500
0.500 0.500 0.000
```

Top 6 peaks for 2θ from 10° to 80°, by angle:
- d = 3.709 Å, intensity 55.1
- d = 2.351 Å, intensity 100.0
- d = 2.158 Å, intensity 22.4
- d = 2.133 Å, intensity 24.0
- d = 1.849 Å, intensity 28.6
- d = 1.269 Å, intensity 23.4

Starting from a cell relaxed with PBE, the powder diffraction line list of YScCdRh was calculated for Cu Kα.
Intensities are scaled so that the largest is 100.

Crystal structure
```
YScCdRh
1.0
3.413 0.000 0.000
0.000 3.413 0.000
0.000 0.000 7.351
Y Sc Cd Rh
1 1 1 1
direct
0.000 0.000 0.000
0.000 0.000 0.565
0.500 0.500 0.304
0.500 0.500 0.758
```

Top 6 peaks for 2θ from 10° to 80°, by angle:
- d = 3.095 Å, intensity 11.5
- d = 2.501 Å, intensity 100.0
- d = 2.413 Å, intensity 50.5
- d = 1.706 Å, intensity 16.9
- d = 1.462 Å, intensity 12.3
- d = 1.410 Å, intensity 31.1